No. 1
Ba3I5: computed X-ray diffraction stick pattern (λ = 1.5418 Å (Cu Kα)), based on a cell relaxed with GGA-PBE.
Peak positions follow from Bragg's law for the DFT cell and can differ from measured ones.

Atomic structure:
Cell: 8.2357 19.1076 9.4648 Å, 90.00 104.16 90.00°
Space group C2/m (No. 12)
Symmetry-distinct sites (fractional):
Ba (0.0000, 0.1543, 0.0000)
Ba (0.0000, 0.2482, 0.5000)
Ba (0.0504, 0.5000, 0.2982)
I (0.1776, 0.3090, 0.1975)
I (0.2276, 0.1073, 0.3776)
I (0.2315, 0.0000, 0.9747)

Main lines, most intense first (10 to 90 degrees two-theta):
| 2theta | d/Å | I_rel | h k l |
| --- | --- | --- | --- |
| 27.41 | 3.253 | 100 | 2 2 -2 |
| 25.07 | 3.552 | 74 | 1 1 2 |
| 30.71 | 2.912 | 64 | 0 2 3 |
| 28.95 | 3.085 | 63 | 2 4 -1 |
| 32.50 | 2.755 | 55 | 2 4 1 |
| 28.61 | 3.120 | 53 | 1 5 1 |

***

No. 2
Sr2InHg6Pb: computed X-ray diffraction stick pattern (λ = 1.5418 Å (Cu Kα)), based on a cell relaxed with GGA-PBE.
Peak positions follow from Bragg's law for the DFT cell and can differ from measured ones.

Atomic structure:
Cell: 11.3206 11.3206 11.3206 Å, 90.00 90.00 90.00°
Space group Fm-3m (No. 225)
Symmetry-distinct sites (fractional):
Sr (0.2500, 0.2500, 0.2500)
In (0.0000, 0.0000, 0.0000)
Hg (0.0000, 0.0000, 0.2453)
Pb (0.0000, 0.0000, 0.5000)

Main lines, most intense first (10 to 90 degrees two-theta):
| 2theta | d/Å | I_rel | h k l |
| --- | --- | --- | --- |
| 31.61 | 2.830 | 100 | 4 0 0 |
| 45.32 | 2.001 | 75 | 4 4 0 |
| 27.29 | 3.268 | 75 | 2 2 2 |
| 15.66 | 5.660 | 53 | 2 0 0 |
| 53.71 | 1.707 | 35 | 6 2 2 |
| 75.05 | 1.266 | 34 | 8 4 0 |

***

No. 3
PmGd2Lu: computed X-ray diffraction stick pattern (λ = 1.5418 Å (Cu Kα)), based on a cell relaxed with GGA-PBE.
Peak positions follow from Bragg's law for the DFT cell and can differ from measured ones.

Atomic structure:
Cell: 3.5690 3.5690 34.8984 Å, 90.00 90.00 120.00°
Space group R-3m (No. 166, hexagonal axes)
Symmetry-distinct sites (fractional):
Pm (0.0000, 0.0000, 0.0000)
Gd (0.0000, 0.0000, 0.2482)
Lu (0.0000, 0.0000, 0.5000)

Main lines, most intense first (10 to 90 degrees two-theta):
| 2theta | d/Å | I_rel | h k l |
| --- | --- | --- | --- |
| 30.70 | 2.912 | 100 | 1 0 4 |
| 35.60 | 2.522 | 51 | 0 1 8 |
| 60.92 | 1.521 | 43 | 0 2 4 |
| 51.23 | 1.783 | 36 | 1 1 0 |
| 83.51 | 1.158 | 13 | 2 1 4 |
| 63.90 | 1.457 | 9 | 2 0 8 |

***

No. 4
Sc5MnIr6: computed X-ray diffraction stick pattern (λ = 1.5418 Å (Cu Kα)), based on a cell relaxed with GGA-PBE.
Peak positions follow from Bragg's law for the DFT cell and can differ from measured ones.

Atomic structure:
Cell: 4.5483 6.3545 13.6248 Å, 90.00 90.00 90.00°
Space group Immm (No. 71)
Symmetry-distinct sites (fractional):
Sc (0.0000, 0.0000, 0.0000)
Sc (0.0000, 0.0000, 0.3371)
Sc (0.0000, 0.5000, 0.3327)
Mn (0.0000, 0.5000, 0.0000)
Ir (0.0000, 0.2482, 0.5000)
Ir (0.0000, 0.2517, 0.1656)

Main lines, most intense first (10 to 90 degrees two-theta):
| 2theta | d/Å | I_rel | h k l |
| --- | --- | --- | --- |
| 39.90 | 2.259 | 100 | 1 2 3 |
| 39.66 | 2.272 | 51 | 2 0 0 |
| 27.76 | 3.214 | 47 | 1 0 3 |
| 72.13 | 1.310 | 34 | 3 2 3 |
| 28.08 | 3.177 | 23 | 0 2 0 |
| 49.30 | 1.848 | 21 | 2 2 0 |

***

No. 5
Ho4H2S5: computed X-ray diffraction stick pattern (λ = 1.5418 Å (Cu Kα)), based on a cell relaxed with GGA-PBE.
Peak positions follow from Bragg's law for the DFT cell and can differ from measured ones.

Atomic structure:
Cell: 15.9249 3.9540 7.3829 Å, 90.00 100.84 90.00°
Space group C2/m (No. 12)
Symmetry-distinct sites (fractional):
Ho (0.0174, 0.0000, 0.2594)
Ho (0.2112, 0.5000, 0.2229)
H (0.0653, 0.5000, 0.1760)
S (0.0000, 0.5000, 0.5000)
S (0.1450, 0.0000, 0.9619)
S (0.1733, 0.0000, 0.4384)

Main lines, most intense first (10 to 90 degrees two-theta):
| 2theta | d/Å | I_rel | h k l |
| --- | --- | --- | --- |
| 39.99 | 2.255 | 100 | 3 1 2 |
| 35.56 | 2.524 | 95 | 3 1 -2 |
| 24.55 | 3.626 | 85 | 0 0 2 |
| 22.74 | 3.910 | 80 | 4 0 0 |
| 18.18 | 4.879 | 72 | 2 0 1 |
| 29.60 | 3.018 | 67 | 3 1 -1 |

***

No. 6
DyCd2Pd8: computed X-ray diffraction stick pattern (λ = 1.5418 Å (Cu Kα)), based on a cell relaxed with GGA-PBE.
Peak positions follow from Bragg's law for the DFT cell and can differ from measured ones.

Atomic structure:
Cell: 14.5433 4.1539 6.4058 Å, 90.00 105.52 90.00°
Space group C2/m (No. 12)
Symmetry-distinct sites (fractional):
Dy (0.0000, 0.0000, 0.0000)
Cd (0.2248, 0.5000, 0.6474)
Pd (0.0421, 0.5000, 0.7212)
Pd (0.0915, 0.0000, 0.4614)
Pd (0.1384, 0.5000, 0.1843)
Pd (0.1814, 0.0000, 0.9116)

Main lines, most intense first (10 to 90 degrees two-theta):
| 2theta | d/Å | I_rel | h k l |
| --- | --- | --- | --- |
| 38.24 | 2.354 | 100 | 1 1 2 |
| 43.58 | 2.077 | 17 | 0 2 0 |
| 44.72 | 2.027 | 16 | 4 0 -3 |
| 45.03 | 2.013 | 16 | 6 0 1 |
| 76.45 | 1.246 | 13 | 1 3 2 |
| 78.52 | 1.218 | 12 | 11 1 0 |

***

No. 7
BaAc2Tl2: computed X-ray diffraction stick pattern (λ = 1.5418 Å (Cu Kα)), based on a cell relaxed with GGA-PBE.
Peak positions follow from Bragg's law for the DFT cell and can differ from measured ones.

Atomic structure:
Cell: 3.9159 25.7258 3.9539 Å, 90.00 90.00 90.00°
Space group Cmmm (No. 65)
Symmetry-distinct sites (fractional):
Ba (0.0000, 0.0000, 0.0000)
Ac (0.0000, 0.1806, 0.0000)
Tl (0.0000, 0.4025, 0.5000)

Main lines, most intense first (10 to 90 degrees two-theta):
| 2theta | d/Å | I_rel | h k l |
| --- | --- | --- | --- |
| 28.65 | 3.116 | 100 | 1 5 0 |
| 30.76 | 2.907 | 77 | 0 6 1 |
| 32.36 | 2.766 | 76 | 1 1 1 |
| 51.01 | 1.790 | 45 | 1 11 1 |
| 55.01 | 1.669 | 33 | 1 5 2 |
| 56.68 | 1.624 | 28 | 2 6 1 |

***

No. 8
PmSi3Tc: computed X-ray diffraction stick pattern (λ = 1.5418 Å (Cu Kα)), based on a cell relaxed with GGA-PBE.
Peak positions follow from Bragg's law for the DFT cell and can differ from measured ones.

Atomic structure:
Cell: 6.0087 5.6515 5.8284 Å, 90.00 90.00 90.00°
Space group Pmn2_1 (No. 31)
Symmetry-distinct sites (fractional):
Pm (0.0000, 0.1577, 0.0000)
Si (0.0000, 0.9820, 0.5066)
Si (0.2139, 0.3518, 0.5196)
Tc (0.0000, 0.6330, 0.3006)

Main lines, most intense first (10 to 90 degrees two-theta):
| 2theta | d/Å | I_rel | h k l |
| --- | --- | --- | --- |
| 37.24 | 2.414 | 100 | 2 1 1 |
| 37.82 | 2.379 | 90 | 1 1 2 |
| 21.91 | 4.057 | 79 | 0 1 1 |
| 21.24 | 4.184 | 72 | 1 0 1 |
| 35.09 | 2.557 | 68 | 1 2 0 |
| 26.51 | 3.363 | 65 | 1 1 1 |

***

> Which formula does entry 5 have?

Ho4H2S5